Calculated PXRD pattern of BaI2 for Cu Ka, from a structure optimized by DFT (GGA-PBE).
Neutral-atom scattering factors, no anomalous dispersion.

```
BaI2
1.0
9.279 0.000 0.000
-4.639 8.036 0.000
0.000 0.000 5.256
Ba I
3 6
Cartesian
0.000 0.000 0.000
0.000 5.357 2.628
4.639 2.679 2.628
-1.190 2.062 2.628
-2.746 4.757 0.000
2.381 0.000 2.628
1.893 3.279 0.000
5.493 0.000 0.000
3.449 5.974 2.628
```

Largest 10 diffraction maxima, by angle, 2θ from 10° to 90°:
2theta, I (rel.)
25.6, 952
28.0, 1000
29.4, 441
33.5, 424
34.1, 727
45.7, 258
48.5, 306
52.6, 422
57.4, 163
63.8, 140


Calculated PXRD pattern of KBa2I5 for Cu Ka, from a structure optimized by DFT (GGA-PBE).
Neutral-atom scattering factors, no anomalous dispersion.

```
KBa2I5
1.0
10.548 0.000 0.000
0.000 9.451 0.000
-0.048 0.000 14.959
K Ba I
4 8 20
Cartesian
0.095 0.136 4.776
0.071 4.589 12.255
10.429 4.862 2.703
10.405 9.315 10.183
2.630 0.757 0.123
2.606 3.969 7.602
5.250 0.231 4.785
5.226 4.495 12.265
5.274 4.957 2.694
5.250 9.220 10.173
7.894 5.482 7.357
7.870 8.695 14.836
0.419 6.306 6.091
0.394 7.871 13.570
2.764 1.865 11.671
2.788 2.861 4.191
2.895 0.380 7.514
2.919 4.346 0.035
2.889 6.299 10.250
2.913 7.878 2.770
4.773 6.287 6.047
4.749 7.890 13.527
5.751 1.561 1.432
5.727 3.164 8.911
7.587 1.573 12.188
7.611 3.152 4.709
7.581 5.106 14.924
7.605 9.072 7.444
7.712 6.590 10.767
7.736 7.587 3.288
10.106 1.580 1.388
10.081 3.146 8.868
```

Largest 10 diffraction maxima, by angle, 2θ from 10° to 90°:
2theta, I (rel.)
22.7, 515
25.6, 394
26.0, 780
26.3, 250
27.0, 422
28.0, 1000
29.0, 364
29.3, 513
34.0, 418
35.8, 244


Calculated PXRD pattern of BaLaI4 for Cu Ka, from a structure optimized by DFT (GGA-PBE).
Neutral-atom scattering factors, no anomalous dispersion.

```
BaLaI4
1.0
5.258 -7.652 0.000
5.258 7.652 0.000
-4.104 0.000 6.355
Ba La I
2 2 8
Cartesian
2.180 5.597 4.766
4.232 -5.597 1.589
2.180 0.011 4.766
4.232 -0.011 1.589
-1.047 0.964 4.955
2.336 2.652 2.638
1.004 -0.964 1.778
6.127 2.652 0.540
0.285 -2.652 5.815
5.407 0.964 4.576
4.075 -2.652 3.717
7.459 -0.964 1.399
```

Largest 10 diffraction maxima, by angle, 2θ from 10° to 90°:
2theta, I (rel.)
11.6, 685
26.2, 1000
27.2, 885
29.0, 533
29.9, 777
30.5, 520
30.9, 591
32.5, 814
33.1, 647
35.2, 674


Calculated PXRD pattern of BaLa2I8 for Cu Ka, from a structure optimized by DFT (GGA-PBE).
Neutral-atom scattering factors, no anomalous dispersion.

```
BaLa2I8
1.0
5.021 -7.305 0.000
5.021 7.305 0.000
-1.544 0.000 6.193
Ba La I
1 2 8
Cartesian
0.000 0.000 0.000
4.249 2.650 3.096
4.249 -2.650 3.096
1.034 1.924 3.580
5.021 3.718 0.000
1.034 -1.924 3.580
3.527 0.000 1.209
4.971 0.000 4.984
7.464 1.924 2.613
5.021 -3.718 0.000
7.464 -1.924 2.613
```

Largest 10 diffraction maxima, by angle, 2θ from 10° to 90°:
2theta, I (rel.)
25.9, 283
28.4, 1000
28.7, 268
28.8, 167
30.6, 275
33.2, 326
34.2, 188
39.0, 151
45.7, 161
57.1, 156


Calculated PXRD pattern of Ba2LiIO6 for Cu Ka, from a structure optimized by DFT (GGA-PBE).
Neutral-atom scattering factors, no anomalous dispersion.

```
Ba2LiIO6
1.0
0.000 4.154 4.154
4.154 0.000 4.154
4.154 4.154 0.000
Ba Li I O
2 1 1 6
Cartesian
2.077 2.077 2.077
6.231 6.231 6.231
0.000 0.000 0.000
4.154 4.154 4.154
4.154 4.154 2.241
4.154 2.241 4.154
6.067 4.154 4.154
2.241 4.154 4.154
4.154 6.067 4.154
4.154 4.154 6.067
```

Largest 10 diffraction maxima, by angle, 2θ from 10° to 90°:
2theta, I (rel.)
18.5, 314
21.4, 81
30.4, 1000
35.8, 133
37.5, 151
43.6, 330
54.1, 394
63.3, 200
71.9, 182
88.0, 221


Calculated PXRD pattern of BaNbI5O16 for Cu Ka, from a structure optimized by DFT (GGA-PBE).
Neutral-atom scattering factors, no anomalous dispersion.

```
BaNbI5O16
1.0
7.166 -3.819 0.000
7.166 3.819 0.000
-6.054 0.000 14.023
Ba Nb I O
2 2 10 32
Cartesian
4.139 2.726 7.012
7.166 -2.726 0.000
0.915 0.215 8.323
3.942 -0.215 1.311
1.320 1.546 3.839
5.101 2.611 3.120
1.643 1.330 11.697
-1.707 -1.546 10.851
8.688 0.943 1.615
8.110 1.196 6.008
4.671 -1.330 4.685
5.661 -0.943 8.627
2.074 -2.611 10.132
5.083 -1.196 13.020
-0.948 1.114 8.092
-1.288 1.585 11.764
3.175 1.235 0.100
1.666 3.122 11.991
6.700 3.332 2.660
2.911 0.843 3.180
1.385 1.542 9.837
1.942 1.047 7.148
5.471 1.816 4.720
5.352 1.029 2.074
2.079 -1.114 1.080
0.147 -1.235 7.112
-0.116 -0.843 10.191
4.926 1.450 9.298
3.438 1.043 11.696
1.739 -1.585 4.752
7.773 0.498 0.107
4.969 -1.047 0.136
2.325 -1.029 9.085
4.412 -1.542 2.826
4.746 -0.498 7.118
6.264 0.871 11.711
6.465 -1.043 4.684
10.265 0.130 1.310
2.444 -1.816 11.732
9.525 0.852 7.072
7.238 -0.130 8.322
7.953 -1.450 2.286
4.693 -3.122 4.979
9.291 -0.871 4.699
3.673 -3.332 9.672
12.552 -0.852 0.060
```

Largest 10 diffraction maxima, by angle, 2θ from 10° to 90°:
2theta, I (rel.)
23.4, 259
24.6, 546
24.9, 442
25.4, 1000
26.3, 415
26.5, 783
27.1, 226
42.8, 235
46.1, 208
47.9, 205


Calculated PXRD pattern of BaIO5 for Cu Ka, from a structure optimized by DFT (GGA-PBE).
Neutral-atom scattering factors, no anomalous dispersion.

```
BaIO5
1.0
4.844 0.000 0.000
-2.039 7.723 0.000
-0.131 -3.051 7.416
Ba I O
2 2 10
Cartesian
0.246 2.313 0.732
2.429 2.359 6.684
0.060 0.609 4.181
2.615 4.063 3.235
-0.985 4.965 6.172
0.023 1.348 6.039
-0.456 6.107 1.510
0.490 5.290 1.186
0.237 4.668 5.872
2.438 0.004 1.544
2.184 -0.617 6.230
3.131 -1.435 5.906
2.651 3.324 1.377
3.659 -0.293 1.244
```

Largest 10 diffraction maxima, by angle, 2θ from 10° to 90°:
2theta, I (rel.)
12.4, 556
19.6, 391
24.9, 301
25.6, 903
26.9, 1000
27.3, 986
28.9, 808
29.2, 943
31.1, 576
37.2, 440